[1]
For Li2Mn2CoO6, a cell relaxed with PBE+U gives the simulated XRD peak list in this record (Cu Ka).
Neutral-atom scattering factors, no anomalous dispersion.

Most intense lines, 15° ≤ 2θ ≤ 90°, sorted by position:
| h k l | 2θ/deg | d [Å] | I/Imax |
| --- | --- | --- | --- |
| 0 0 2 | 17.23 | 5.147 | 1000 |
| 0 2 0 | 35.42 | 2.534 | 70 |
| 3 1 1 | 36.37 | 2.470 | 292 |
| 3 1 2 | 39.51 | 2.281 | 76 |
| 0 2 2 | 39.64 | 2.273 | 147 |
| 3 1 3 | 44.32 | 2.044 | 312 |
| 0 2 4 | 50.55 | 1.806 | 138 |
| 3 1 5 | 57.59 | 1.601 | 171 |
| 3 3 1 | 64.22 | 1.450 | 143 |
| 3 1 7 | 74.54 | 1.273 | 69 |

Structure:
```
data_Li2Mn2CoO6
_cell_length_a 8.826
_cell_length_b 5.068
_cell_length_c 10.294
_cell_angle_alpha 90.00
_cell_angle_beta 90.00
_cell_angle_gamma 90.00
_space_group_name_H-M_alt 'C m c e'
_space_group_IT_number 64
_space_group_name_Hall '-C 2ac 2'
loop_
_atom_site_label
_atom_site_type_symbol
_atom_site_fract_x
_atom_site_fract_y
_atom_site_fract_z
Li1 Li 0.250 0.078 0.250
Mn1 Mn 0.163 0.000 0.000
Co1 Co 0.000 0.000 0.500
O1 O 0.000 0.148 0.901
O2 O 0.183 0.179 0.605
```

[2]
For Li7Mn2Co3O12, a cell relaxed with PBE+U gives the simulated XRD peak list in this record (Cu Ka).
Neutral-atom scattering factors, no anomalous dispersion.

Most intense lines, 15° ≤ 2θ ≤ 90°, sorted by position:
| h k l | 2θ/deg | d [Å] | I/Imax |
| --- | --- | --- | --- |
| 0 1 -1 | 18.42 | 4.817 | 1000 |
| 2 0 0 | 35.68 | 2.516 | 134 |
| -2 1 2 | 35.97 | 2.496 | 134 |
| 0 2 1 | 36.40 | 2.468 | 128 |
| 2 -1 1 | 43.16 | 2.096 | 300 |
| 2 0 -3 | 43.63 | 2.075 | 290 |
| 0 3 0 | 44.19 | 2.050 | 279 |
| 2 -3 0 | 47.70 | 1.906 | 84 |
| -4 1 2 | 63.05 | 1.474 | 156 |
| 2 -4 1 | 63.20 | 1.471 | 76 |

Structure:
```
data_Li7Mn2Co3O12
_cell_length_a 5.897
_cell_length_b 6.513
_cell_length_c 6.569
_cell_angle_alpha 96.54
_cell_angle_beta 116.08
_cell_angle_gamma 103.16
_space_group_name_H-M_alt 'P -1'
_space_group_IT_number 2
_space_group_name_Hall '-P 1'
loop_
_atom_site_label
_atom_site_type_symbol
_atom_site_fract_x
_atom_site_fract_y
_atom_site_fract_z
Li1 Li 0.000 0.000 0.000
Li2 Li 0.240 0.673 0.162
Li3 Li 0.243 0.999 0.495
Li4 Li 0.244 0.326 0.833
Mn1 Mn 0.001 0.669 0.671
Co1 Co 0.486 0.322 0.324
Co2 Co 0.500 0.000 0.000
O1 O 0.117 0.652 0.429
O2 O 0.128 0.977 0.752
O3 O 0.131 0.341 0.110
O4 O 0.353 0.346 0.564
O5 O 0.354 0.669 0.900
O6 O 0.393 0.016 0.248
```

[3]
For Li3MnCoO5, a cell relaxed with PBE+U gives the simulated XRD peak list in this record (Cu Ka).
Neutral-atom scattering factors, no anomalous dispersion.

Most intense lines, 15° ≤ 2θ ≤ 90°, sorted by position:
| h k l | 2θ/deg | d [Å] | I/Imax |
| --- | --- | --- | --- |
| 2 0 -1 | 18.32 | 4.842 | 1000 |
| 0 0 5 | 35.79 | 2.509 | 120 |
| 1 1 2 | 36.39 | 2.469 | 252 |
| 2 0 -6 | 43.57 | 2.077 | 269 |
| 3 1 1 | 43.80 | 2.067 | 550 |
| 3 1 -4 | 48.10 | 1.892 | 72 |
| 5 1 0 | 57.53 | 1.602 | 126 |
| 6 0 2 | 62.42 | 1.488 | 74 |
| 5 1 -5 | 63.44 | 1.466 | 139 |
| 1 1 7 | 63.55 | 1.464 | 144 |

Structure:
```
data_Li3MnCoO5
_cell_length_a 9.855
_cell_length_b 2.873
_cell_length_c 12.808
_cell_angle_alpha 90.00
_cell_angle_beta 101.63
_cell_angle_gamma 90.00
_space_group_name_H-M_alt 'C 1 2/m 1'
_space_group_IT_number 12
_space_group_name_Hall '-C 2y'
loop_
_atom_site_label
_atom_site_type_symbol
_atom_site_fract_x
_atom_site_fract_y
_atom_site_fract_z
Li1 Li 0.000 0.000 0.000
Li2 Li 0.000 0.500 0.500
Li3 Li 0.093 0.000 0.701
Li4 Li 0.197 0.500 0.910
Mn1 Mn 0.105 0.500 0.193
Co1 Co 0.203 0.000 0.400
O1 O 0.027 0.000 0.844
O2 O 0.064 0.500 0.343
O3 O 0.153 0.500 0.061
O4 O 0.156 0.000 0.550
O5 O 0.239 0.000 0.246
```

[4]
For Li3MnCoO5, a cell relaxed with PBE+U gives the simulated XRD peak list in this record (Cu Ka).
Neutral-atom scattering factors, no anomalous dispersion.

Most intense lines, 15° ≤ 2θ ≤ 90°, sorted by position:
| h k l | 2θ/deg | d [Å] | I/Imax |
| --- | --- | --- | --- |
| 2 0 -1 | 18.36 | 4.833 | 1000 |
| 6 0 0 | 22.14 | 4.015 | 116 |
| 8 0 1 | 35.19 | 2.550 | 125 |
| 5 1 0 | 36.33 | 2.473 | 248 |
| 6 0 2 | 42.47 | 2.128 | 285 |
| 7 1 -1 | 44.09 | 2.054 | 572 |
| 9 1 -2 | 58.06 | 1.589 | 93 |
| 1 1 -3 | 62.80 | 1.480 | 144 |
| 13 1 1 | 62.97 | 1.476 | 139 |
| 0 2 0 | 64.70 | 1.441 | 77 |

Structure:
```
data_Li3MnCoO5
_cell_length_a 24.113
_cell_length_b 2.881
_cell_length_c 5.175
_cell_angle_alpha 90.00
_cell_angle_beta 92.68
_cell_angle_gamma 90.00
_space_group_name_H-M_alt 'C 1 m 1'
_space_group_IT_number 8
_space_group_name_Hall 'C -2y'
loop_
_atom_site_label
_atom_site_type_symbol
_atom_site_fract_x
_atom_site_fract_y
_atom_site_fract_z
Li1 Li 0.000 0.000 0.000
Li2 Li 0.005 0.500 0.503
Li3 Li 0.096 0.000 0.673
Li4 Li 0.199 0.500 0.895
Li5 Li 0.307 0.000 0.112
Li6 Li 0.407 0.500 0.296
Mn1 Mn 0.201 0.000 0.388
Mn2 Mn 0.404 0.000 0.813
Co1 Co 0.093 0.500 0.155
Co2 Co 0.302 0.500 0.601
O1 O 0.055 0.000 0.332
O2 O 0.057 0.500 0.850
O3 O 0.153 0.000 0.083
O4 O 0.159 0.500 0.530
O5 O 0.247 0.500 0.249
O6 O 0.252 0.000 0.704
O7 O 0.350 0.000 0.486
O8 O 0.355 0.500 0.939
O9 O 0.445 0.500 0.662
O10 O 0.446 0.000 0.114
```

[5]
For Li7Mn4CoO12, a cell relaxed with PBE+U gives the simulated XRD peak list in this record (Cu Ka).
Neutral-atom scattering factors, no anomalous dispersion.

Most intense lines, 15° ≤ 2θ ≤ 90°, sorted by position:
| h k l | 2θ/deg | d [Å] | I/Imax |
| --- | --- | --- | --- |
| 0 1 1 | 18.43 | 4.815 | 1000 |
| 2 1 1 | 34.29 | 2.615 | 165 |
| 1 -1 2 | 36.47 | 2.464 | 244 |
| 2 2 2 | 41.22 | 2.190 | 343 |
| 1 0 -3 | 44.43 | 2.039 | 277 |
| 1 -2 1 | 44.60 | 2.032 | 274 |
| 1 3 0 | 47.24 | 1.924 | 89 |
| 3 2 -1 | 62.04 | 1.496 | 83 |
| 3 0 3 | 62.15 | 1.494 | 83 |
| 1 4 1 | 62.53 | 1.485 | 81 |

Structure:
```
data_Li7Mn4CoO12
_cell_length_a 5.269
_cell_length_b 5.958
_cell_length_c 7.762
_cell_angle_alpha 76.18
_cell_angle_beta 74.76
_cell_angle_gamma 69.84
_space_group_name_H-M_alt 'P 1'
_space_group_IT_number 1
_space_group_name_Hall 'P 1'
loop_
_atom_site_label
_atom_site_type_symbol
_atom_site_fract_x
_atom_site_fract_y
_atom_site_fract_z
Li1 Li 0.000 0.000 0.000
Li2 Li 0.003 0.343 0.676
Li3 Li 0.019 0.511 0.003
Li4 Li 0.034 0.686 0.340
Li5 Li 0.504 0.187 0.845
Li6 Li 0.514 0.517 0.506
Li7 Li 0.532 0.840 0.168
Mn1 Mn 0.020 0.183 0.336
Mn2 Mn 0.518 0.683 0.840
Mn3 Mn 0.519 0.014 0.507
Mn4 Mn 0.520 0.349 0.171
Co1 Co 0.019 0.846 0.674
O1 O 0.244 0.860 0.434
O2 O 0.279 0.553 0.762
O3 O 0.286 0.199 0.110
O4 O 0.288 0.006 0.755
O5 O 0.294 0.339 0.417
O6 O 0.301 0.672 0.084
O7 O 0.737 0.360 0.928
O8 O 0.746 0.691 0.597
O9 O 0.748 0.022 0.257
O10 O 0.755 0.482 0.251
O11 O 0.762 0.831 0.900
O12 O 0.793 0.164 0.584
```

[6]
For Li7Mn2Co3O12, a cell relaxed with PBE+U gives the simulated XRD peak list in this record (Cu Ka).
Neutral-atom scattering factors, no anomalous dispersion.

Most intense lines, 15° ≤ 2θ ≤ 90°, sorted by position:
| h k l | 2θ/deg | d [Å] | I/Imax |
| --- | --- | --- | --- |
| 1 0 0 | 18.53 | 4.789 | 1000 |
| 0 2 0 | 35.16 | 2.552 | 159 |
| 0 1 -3 | 36.68 | 2.450 | 223 |
| 2 0 0 | 37.55 | 2.395 | 71 |
| 1 1 -3 | 37.97 | 2.370 | 71 |
| 1 2 0 | 42.40 | 2.132 | 318 |
| 1 -1 3 | 44.52 | 2.035 | 258 |
| -2 1 3 | 44.67 | 2.028 | 260 |
| 0 3 -3 | 63.20 | 1.471 | 224 |
| 3 1 -3 | 63.32 | 1.469 | 74 |

Structure:
```
data_Li7Mn2Co3O12
_cell_length_a 5.039
_cell_length_b 5.156
_cell_length_c 8.553
_cell_angle_alpha 90.08
_cell_angle_beta 106.26
_cell_angle_gamma 97.72
_space_group_name_H-M_alt 'P 1'
_space_group_IT_number 1
_space_group_name_Hall 'P 1'
loop_
_atom_site_label
_atom_site_type_symbol
_atom_site_fract_x
_atom_site_fract_y
_atom_site_fract_z
Li1 Li 0.000 0.000 0.000
Li2 Li 0.002 0.489 0.172
Li3 Li 0.008 0.982 0.341
Li4 Li 0.495 0.741 0.418
Li5 Li 0.982 0.982 0.655
Li6 Li 0.988 0.480 0.825
Li7 Li 0.992 0.502 0.499
Mn1 Mn 0.495 0.242 0.250
Mn2 Mn 0.497 0.239 0.913
Co1 Co 0.493 0.242 0.580
Co2 Co 0.494 0.740 0.742
Co3 Co 0.497 0.741 0.085
O1 O 0.262 0.342 0.371
O2 O 0.264 0.351 0.040
O3 O 0.265 0.343 0.712
O4 O 0.265 0.864 0.554
O5 O 0.280 0.887 0.202
O6 O 0.291 0.881 0.883
O7 O 0.702 0.599 0.949
O8 O 0.711 0.597 0.273
O9 O 0.723 0.613 0.631
O10 O 0.724 0.142 0.451
O11 O 0.729 0.130 0.792
O12 O 0.729 0.133 0.119
```

[7]
For Li4MnCo2O7, a cell relaxed with PBE+U gives the simulated XRD peak list in this record (Cu Ka).
Neutral-atom scattering factors, no anomalous dispersion.

Most intense lines, 15° ≤ 2θ ≤ 90°, sorted by position:
| h k l | 2θ/deg | d [Å] | I/Imax |
| --- | --- | --- | --- |
| 0 1 -1 | 18.55 | 4.783 | 1000 |
| 2 -1 0 | 35.89 | 2.502 | 135 |
| 1 1 2 | 36.57 | 2.457 | 248 |
| 2 -2 1 | 43.37 | 2.087 | 272 |
| 1 2 1 | 44.38 | 2.041 | 516 |
| -1 3 1 | 48.08 | 1.892 | 80 |
| 1 3 0 | 58.51 | 1.578 | 91 |
| 1 -4 0 | 63.60 | 1.463 | 139 |
| 3 0 2 | 63.96 | 1.456 | 140 |
| 2 2 -3 | 64.17 | 1.451 | 70 |

Structure:
```
data_Li4MnCo2O7
_cell_length_a 5.066
_cell_length_b 5.850
_cell_length_c 8.665
_cell_angle_alpha 91.06
_cell_angle_beta 95.03
_cell_angle_gamma 107.66
_space_group_name_H-M_alt 'P 1'
_space_group_IT_number 1
_space_group_name_Hall 'P 1'
loop_
_atom_site_label
_atom_site_type_symbol
_atom_site_fract_x
_atom_site_fract_y
_atom_site_fract_z
Li1 Li 0.000 0.000 0.000
Li2 Li 0.030 0.494 0.002
Li3 Li 0.176 0.285 0.283
Li4 Li 0.320 0.563 0.580
Li5 Li 0.447 0.847 0.868
Li6 Li 0.605 0.140 0.143
Li7 Li 0.752 0.424 0.433
Li8 Li 0.896 0.709 0.724
Mn1 Mn 0.459 0.354 0.865
Mn2 Mn 0.748 0.924 0.432
Co1 Co 0.175 0.778 0.285
Co2 Co 0.320 0.068 0.579
Co3 Co 0.605 0.637 0.149
Co4 Co 0.889 0.212 0.721
O1 O 0.009 0.228 0.508
O2 O 0.025 0.761 0.486
O3 O 0.167 0.056 0.795
O4 O 0.181 0.505 0.790
O5 O 0.332 0.791 0.094
O6 O 0.348 0.334 0.074
O7 O 0.465 0.071 0.362
O8 O 0.486 0.612 0.356
O9 O 0.616 0.379 0.666
O10 O 0.629 0.901 0.638
O11 O 0.715 0.660 0.945
O12 O 0.728 0.184 0.917
O13 O 0.868 0.948 0.222
O14 O 0.883 0.493 0.214
```

[8]
For Li4MnCo2O7, a cell relaxed with PBE+U gives the simulated XRD peak list in this record (Cu Ka).
Neutral-atom scattering factors, no anomalous dispersion.

Most intense lines, 15° ≤ 2θ ≤ 90°, sorted by position:
| h k l | 2θ/deg | d [Å] | I/Imax |
| --- | --- | --- | --- |
| 0 0 1 | 18.42 | 4.817 | 1000 |
| 2 0 -1 | 35.42 | 2.534 | 188 |
| 1 7 0 | 36.62 | 2.454 | 234 |
| 1 7 -1 | 37.94 | 2.371 | 70 |
| 2 0 -2 | 42.63 | 2.121 | 304 |
| 1 7 1 | 44.43 | 2.039 | 521 |
| 1 7 -2 | 47.76 | 1.904 | 94 |
| 1 7 2 | 58.45 | 1.579 | 102 |
| 1 7 -3 | 63.05 | 1.474 | 150 |
| 3 7 -1 | 63.48 | 1.465 | 154 |

Structure:
```
data_Li4MnCo2O7
_cell_length_a 5.122
_cell_length_b 20.019
_cell_length_c 5.164
_cell_angle_alpha 90.00
_cell_angle_beta 111.14
_cell_angle_gamma 90.00
_space_group_name_H-M_alt 'C 1 2/m 1'
_space_group_IT_number 12
_space_group_name_Hall '-C 2y'
loop_
_atom_site_label
_atom_site_type_symbol
_atom_site_fract_x
_atom_site_fract_y
_atom_site_fract_z
Li1 Li 0.000 0.000 0.000
Li2 Li 0.000 0.067 0.500
Li3 Li 0.000 0.216 0.500
Li4 Li 0.000 0.359 0.500
Li5 Li 0.000 0.500 0.500
Mn1 Mn 0.000 0.141 0.000
Co1 Co 0.000 0.285 0.000
Co2 Co 0.000 0.430 0.000
O1 O 0.216 0.500 0.226
O2 O 0.224 0.215 0.229
O3 O 0.233 0.078 0.240
O4 O 0.243 0.357 0.208
```

[9]
For Li4MnCo2O7, a cell relaxed with PBE+U gives the simulated XRD peak list in this record (Cu Ka).
Neutral-atom scattering factors, no anomalous dispersion.

Most intense lines, 15° ≤ 2θ ≤ 90°, sorted by position:
| h k l | 2θ/deg | d [Å] | I/Imax |
| --- | --- | --- | --- |
| 0 1 -1 | 18.30 | 4.849 | 1000 |
| -1 1 2 | 36.01 | 2.494 | 131 |
| 1 2 2 | 36.23 | 2.479 | 124 |
| 2 0 1 | 36.47 | 2.464 | 127 |
| 1 0 -3 | 43.57 | 2.077 | 268 |
| 2 -1 2 | 43.85 | 2.065 | 527 |
| 1 0 4 | 47.57 | 1.911 | 81 |
| 2 -2 3 | 57.42 | 1.605 | 92 |
| 1 -4 1 | 62.91 | 1.477 | 73 |
| 2 3 -2 | 63.55 | 1.464 | 140 |

Structure:
```
data_Li4MnCo2O7
_cell_length_a 4.991
_cell_length_b 6.573
_cell_length_c 7.801
_cell_angle_alpha 86.12
_cell_angle_beta 77.62
_cell_angle_gamma 83.31
_space_group_name_H-M_alt 'P 1'
_space_group_IT_number 1
_space_group_name_Hall 'P 1'
loop_
_atom_site_label
_atom_site_type_symbol
_atom_site_fract_x
_atom_site_fract_y
_atom_site_fract_z
Li1 Li 0.000 0.000 0.000
Li2 Li 0.069 0.858 0.348
Li3 Li 0.215 0.578 0.072
Li4 Li 0.357 0.282 0.796
Li5 Li 0.499 0.999 0.501
Li6 Li 0.652 0.721 0.210
Li7 Li 0.793 0.415 0.933
Li8 Li 0.925 0.138 0.654
Mn1 Mn 0.141 0.714 0.717
Mn2 Mn 0.283 0.427 0.431
Co1 Co 0.420 0.141 0.134
Co2 Co 0.568 0.863 0.867
Co3 Co 0.711 0.570 0.574
Co4 Co 0.852 0.270 0.281
O1 O 0.032 0.445 0.664
O2 O 0.114 0.286 0.050
O3 O 0.178 0.164 0.396
O4 O 0.261 0.970 0.748
O5 O 0.341 0.862 0.107
O6 O 0.392 0.692 0.482
O7 O 0.458 0.582 0.801
O8 O 0.523 0.427 0.202
O9 O 0.590 0.310 0.532
O10 O 0.664 0.137 0.897
O11 O 0.743 0.017 0.256
O12 O 0.835 0.830 0.614
O13 O 0.896 0.712 0.941
O14 O 0.962 0.554 0.344
```

[10]
For Li7Mn2Co3O12, a cell relaxed with PBE+U gives the simulated XRD peak list in this record (Cu Ka).
Neutral-atom scattering factors, no anomalous dispersion.

Most intense lines, 15° ≤ 2θ ≤ 90°, sorted by position:
| h k l | 2θ/deg | d [Å] | I/Imax |
| --- | --- | --- | --- |
| 0 0 2 | 18.25 | 4.862 | 1000 |
| 1 -1 0 | 34.85 | 2.575 | 138 |
| 1 2 0 | 36.37 | 2.470 | 123 |
| 0 3 2 | 36.85 | 2.439 | 113 |
| 1 -1 2 | 41.50 | 2.176 | 308 |
| 1 2 -2 | 44.05 | 2.056 | 268 |
| 0 3 4 | 45.00 | 2.014 | 243 |
| 0 3 -4 | 61.54 | 1.507 | 72 |
| 1 2 6 | 62.53 | 1.485 | 73 |
| 2 1 0 | 62.68 | 1.482 | 77 |

Structure:
```
data_Li7Mn2Co3O12
_cell_length_a 2.969
_cell_length_b 7.591
_cell_length_c 10.143
_cell_angle_alpha 73.51
_cell_angle_beta 88.12
_cell_angle_gamma 80.74
_space_group_name_H-M_alt 'P 1'
_space_group_IT_number 1
_space_group_name_Hall 'P 1'
loop_
_atom_site_label
_atom_site_type_symbol
_atom_site_fract_x
_atom_site_fract_y
_atom_site_fract_z
Li1 Li 0.000 0.000 0.000
Li2 Li 0.042 0.983 0.550
Li3 Li 0.330 0.344 0.004
Li4 Li 0.411 0.311 0.545
Li5 Li 0.524 0.991 0.773
Li6 Li 0.680 0.659 0.014
Li7 Li 0.731 0.634 0.545
Mn1 Mn 0.548 0.976 0.279
Mn2 Mn 0.859 0.322 0.277
Co1 Co 0.182 0.651 0.275
Co2 Co 0.192 0.666 0.775
Co3 Co 0.879 0.304 0.779
O1 O 0.097 0.828 0.383
O2 O 0.121 0.802 0.892
O3 O 0.245 0.481 0.163
O4 O 0.279 0.495 0.667
O5 O 0.441 0.163 0.899
O6 O 0.484 0.149 0.390
O7 O 0.600 0.809 0.658
O8 O 0.633 0.800 0.172
O9 O 0.727 0.509 0.381
O10 O 0.798 0.492 0.888
O11 O 0.953 0.174 0.653
O12 O 0.995 0.124 0.173
```